Record 1
Simulated powder X-ray diffraction pattern of LiMg14BO15 for Cu Kα, 1.54184 Å, from a cell relaxed with GGA-PBE.
Kinematic intensities with the Lorentz-polarization factor, no thermal factor.

Cell and atoms:
Cell lengths 4.2363, 8.6420, 8.3394 Å; angles 90.00, 90.00, 90.00 degrees
Positions (direct):
Li1 0.0000 0.0000 0.0000
Mg1 0.0000 0.0000 0.4997
Mg2 0.0000 0.2369 0.2516
Mg3 0.0000 0.2373 0.7478
Mg4 0.0000 0.5000 0.9981
Mg5 0.0000 0.7631 0.2516
Mg6 0.0000 0.7627 0.7478
Mg7 0.5000 0.0000 0.2443
Mg8 0.5000 0.0000 0.7559
Mg9 0.5000 0.2447 0.0003
Mg10 0.5000 0.2510 0.4999
Mg11 0.5000 0.5000 0.2590
Mg12 0.5000 0.5000 0.7359
Mg13 0.5000 0.7490 0.4999
Mg14 0.5000 0.7553 0.0003
B1 0.0000 0.5000 0.4853
O1 0.0000 0.0000 0.2524
O2 0.0000 0.0000 0.7477
O3 0.0000 0.2436 0.4999
O4 0.0000 0.2697 0.0005
O5 0.0000 0.5000 0.3148
O6 0.0000 0.7303 0.0005
O7 0.0000 0.7564 0.4999
O8 0.5000 0.0000 0.5011
O9 0.5000 0.0000 0.9995
O10 0.5000 0.2546 0.2499
O11 0.5000 0.2570 0.7501
O12 0.5000 0.5000 0.0032
O13 0.5000 0.5000 0.4994
O14 0.5000 0.7430 0.7501
O15 0.5000 0.7454 0.2499

Top 8 peaks for 10° ≤ 2θ ≤ 80°, low angle first:
d [Å]	2θ (°)	Rel. int.
2.449	36.70	28.1
2.160	41.81	100.0
2.118	42.69	96.9
2.085	43.40	85.8
1.513	61.29	54.2
1.500	61.84	49.3
1.486	62.51	49.2
1.224	78.06	44.5

---

Record 2
Simulated powder X-ray diffraction pattern of SeO3 for Cu Kα, 1.54184 Å, from a cell relaxed with GGA-PBE.
Kinematic intensities with the Lorentz-polarization factor, no thermal factor.

Cell and atoms:
Cell lengths 5.5817, 6.1263, 9.4520 Å; angles 90.00, 90.00, 90.00 degrees
Positions (direct):
Se1 0.1300 0.0231 0.3837
Se2 0.3700 0.9769 0.8837
Se3 0.6300 0.4769 0.6163
Se4 0.8700 0.5231 0.1163
O1 0.0977 0.3588 0.0986
O2 0.0996 0.2788 0.4264
O3 0.1188 0.0679 0.8189
O4 0.3812 0.9321 0.3189
O5 0.4004 0.7212 0.9264
O6 0.4023 0.6412 0.5986
O7 0.5977 0.1412 0.9014
O8 0.5996 0.2212 0.5736
O9 0.6188 0.4321 0.1811
O10 0.8812 0.5679 0.6811
O11 0.9004 0.7788 0.0736
O12 0.9023 0.8588 0.4014

Top 8 peaks for 10° ≤ 2θ ≤ 80°, low angle first:
d [Å]	2θ (°)	Rel. int.
4.806	18.46	29.5
4.126	21.54	47.2
3.781	23.53	36.4
3.742	23.78	100.0
3.607	24.68	40.0
3.063	29.15	14.0
2.744	32.64	24.9
2.335	38.56	18.0

---

Record 3
Simulated powder X-ray diffraction pattern of LaMnNi4 for Cu Kα, 1.54184 Å, from a cell relaxed with GGA-PBE.
Kinematic intensities with the Lorentz-polarization factor, no thermal factor.

Cell and atoms:
Cell lengths 5.0736, 5.0736, 4.0089 Å; angles 90.00, 90.00, 120.00 degrees
Positions (direct):
La1 0.0000 0.0000 0.0000
Mn1 0.3333 0.6667 0.0000
Ni1 0.5013 0.0027 0.5000
Ni2 0.5013 0.4987 0.5000
Ni3 0.6667 0.3333 0.0000
Ni4 0.9973 0.4987 0.5000

Top 8 peaks for 10° ≤ 2θ ≤ 80°, low angle first:
d [Å]	2θ (°)	Rel. int.
2.961	30.18	48.1
2.537	35.38	29.3
2.197	41.09	38.3
2.144	42.15	100.0
2.004	45.24	26.6
1.481	62.75	20.9
1.376	68.17	22.4
1.268	74.86	16.3

---

Record 4
Simulated powder X-ray diffraction pattern of Y3Ga2 for Cu Kα, 1.54184 Å, from a cell relaxed with GGA-PBE.
Kinematic intensities with the Lorentz-polarization factor, no thermal factor.

Cell and atoms:
Cell lengths 11.1336, 11.1336, 11.1336 Å; angles 116.59, 116.59, 96.02 degrees
Positions (direct):
Y1 0.0671 0.9313 0.2709
Y2 0.0687 0.3396 0.1359
Y3 0.1477 0.6477 0.5000
Y4 0.1604 0.4313 0.8641
Y5 0.1686 0.3314 0.5000
Y6 0.2038 0.9329 0.8641
Y7 0.2962 0.1604 0.7291
Y8 0.3314 0.8314 0.1628
Y9 0.3396 0.2038 0.2709
Y10 0.3523 0.8523 0.5000
Y11 0.4313 0.5671 0.2709
Y12 0.4329 0.7038 0.8641
Y13 0.5671 0.2962 0.1359
Y14 0.5687 0.4329 0.7291
Y15 0.6477 0.1477 0.5000
Y16 0.6604 0.7962 0.7291
Y17 0.6686 0.1686 0.8372
Y18 0.7038 0.8396 0.2709
Y19 0.7962 0.0671 0.1359
Y20 0.8314 0.6686 0.5000
Y21 0.8396 0.5687 0.1359
Y22 0.8523 0.3523 0.5000
Y23 0.9313 0.6604 0.8641
Y24 0.9329 0.0687 0.7291
Ga1 0.0000 0.0000 0.0000
Ga2 0.0225 0.8786 0.5000
Ga3 0.1162 0.6162 0.7324
Ga4 0.1214 0.6214 0.1439
Ga5 0.2500 0.2500 0.0000
Ga6 0.3786 0.5225 0.5000
Ga7 0.3838 0.1162 0.5000
Ga8 0.4775 0.9775 0.8561
Ga9 0.5000 0.5000 0.0000
Ga10 0.5225 0.0225 0.1439
Ga11 0.6162 0.8838 0.5000
Ga12 0.6214 0.4775 0.5000
Ga13 0.7500 0.7500 0.0000
Ga14 0.8786 0.3786 0.8561
Ga15 0.8838 0.3838 0.2676
Ga16 0.9775 0.1214 0.5000

Top 8 peaks for 10° ≤ 2θ ≤ 80°, low angle first:
d [Å]	2θ (°)	Rel. int.
2.788	32.10	73.4
2.768	32.34	25.1
2.758	32.46	28.9
2.718	32.96	40.0
2.625	34.16	100.0
2.617	34.27	27.8
2.464	36.46	34.7
1.656	55.49	22.4

---

Record 5
Simulated powder X-ray diffraction pattern of Cs3SbF6 for Cu Kα, 1.54184 Å, from a cell relaxed with GGA-PBE.
Kinematic intensities with the Lorentz-polarization factor, no thermal factor.

Cell and atoms:
Cell lengths 7.1440, 7.1440, 7.1440 Å; angles 60.00, 60.00, 60.00 degrees
Positions (direct):
Cs1 0.0000 0.0000 0.0000
Cs2 0.2500 0.2500 0.2500
Cs3 0.7500 0.7500 0.7500
Sb1 0.5000 0.5000 0.5000
F1 0.2809 0.2809 0.7191
F2 0.2809 0.7191 0.2809
F3 0.2809 0.7191 0.7191
F4 0.7191 0.2809 0.2809
F5 0.7191 0.2809 0.7191
F6 0.7191 0.7191 0.2809

Top 8 peaks for 10° ≤ 2θ ≤ 80°, low angle first:
d [Å]	2θ (°)	Rel. int.
3.572	24.93	100.0
2.526	35.54	33.3
2.062	43.90	41.7
1.786	51.14	21.6
1.597	57.71	21.1
1.458	63.83	7.0
1.350	69.64	23.4
1.263	75.24	3.2

---

Record 6
Simulated powder X-ray diffraction pattern of Na2In2GeS6 for Cu Kα, 1.54184 Å, from a cell relaxed with GGA-PBE.
Kinematic intensities with the Lorentz-polarization factor, no thermal factor.

Cell and atoms:
Cell lengths 7.3626, 7.3626, 12.4631 Å; angles 105.60, 105.60, 65.39 degrees
Positions (direct):
Na1 0.0737 0.9263 0.5000
Na2 0.5317 0.9064 0.1575
Na3 0.9064 0.5317 0.6575
Na4 0.9263 0.0737 0.0000
In1 0.2874 0.4168 0.0028
In2 0.4168 0.2874 0.5028
In3 0.4556 0.6134 0.8072
In4 0.6134 0.4556 0.3072
Ge1 0.0676 0.5115 0.2519
Ge2 0.5115 0.0676 0.7519
S1 0.2120 0.2153 0.8079
S2 0.2153 0.2120 0.3079
S3 0.2220 0.6066 0.6215
S4 0.2520 0.7069 0.3013
S5 0.2932 0.7378 0.9766
S6 0.4684 0.9680 0.5642
S7 0.6066 0.2220 0.1215
S8 0.6980 0.7916 0.8336
S9 0.7069 0.2520 0.8013
S10 0.7378 0.2932 0.4766
S11 0.7916 0.6980 0.3336
S12 0.9680 0.4684 0.0642

Top 8 peaks for 10° ≤ 2θ ≤ 80°, low angle first:
d [Å]	2θ (°)	Rel. int.
6.585	13.45	100.0
5.357	16.55	31.3
3.769	23.61	24.1
3.490	25.52	39.5
3.124	28.58	30.2
3.045	29.33	20.9
2.895	30.89	21.0
2.233	40.39	25.1

---

Record 7
Simulated powder X-ray diffraction pattern of YCBr for Cu Kα, 1.54184 Å, from a cell relaxed with GGA-PBE.
Kinematic intensities with the Lorentz-polarization factor, no thermal factor.

Cell and atoms:
Cell lengths 4.0293, 4.0293, 10.0442 Å; angles 98.49, 98.49, 57.03 degrees
Positions (direct):
Y1 0.0929 0.0929 0.3556
Y2 0.9071 0.9071 0.6444
C1 0.4123 0.4123 0.4630
C2 0.5877 0.5877 0.5370
Br1 0.2968 0.2968 0.8341
Br2 0.7032 0.7032 0.1659

Top 8 peaks for 10° ≤ 2θ ≤ 80°, low angle first:
d [Å]	2θ (°)	Rel. int.
3.271	27.26	44.3
3.131	28.51	91.9
2.897	30.87	100.0
2.686	33.36	48.9
2.629	34.11	33.1
2.459	36.53	52.0
2.008	45.14	47.3
1.923	47.28	61.9

---

Record 8
Simulated powder X-ray diffraction pattern of Gd2CCl for Cu Kα, 1.54184 Å, from a cell relaxed with GGA-PBE.
Kinematic intensities with the Lorentz-polarization factor, no thermal factor.

Cell and atoms:
Cell lengths 7.2060, 7.2060, 7.2060 Å; angles 29.75, 29.75, 29.75 degrees
Positions (direct):
Gd1 0.2299 0.2299 0.2299
Gd2 0.7701 0.7701 0.7701
C1 0.5000 0.5000 0.5000
Cl1 0.0000 0.0000 0.0000

Top 8 peaks for 10° ≤ 2θ ≤ 80°, low angle first:
d [Å]	2θ (°)	Rel. int.
6.882	12.86	24.0
3.060	29.19	85.5
2.722	32.91	100.0
2.531	35.46	35.0
2.294	39.27	19.1
2.170	41.62	24.1
1.850	49.27	39.6
1.440	64.74	26.2

---

Record 9
Simulated powder X-ray diffraction pattern of Ho3Co6Sn5 for Cu Kα, 1.54184 Å, from a cell relaxed with GGA-PBE.
Kinematic intensities with the Lorentz-polarization factor, no thermal factor.

Cell and atoms:
Cell lengths 8.0840, 8.0840, 8.0840 Å; angles 149.01, 107.34, 81.06 degrees
Positions (direct):
Ho1 0.0000 0.0000 0.0000
Ho2 0.3178 0.3178 0.0000
Ho3 0.6822 0.6822 0.0000
Co1 0.1657 0.8923 0.2734
Co2 0.3048 0.5000 0.8048
Co3 0.3811 0.1077 0.2734
Co4 0.6189 0.8923 0.7266
Co5 0.6952 0.5000 0.1952
Co6 0.8343 0.1077 0.7266
Sn1 0.0177 0.6767 0.3410
Sn2 0.3357 0.6767 0.6590
Sn3 0.5000 0.0000 0.5000
Sn4 0.6643 0.3233 0.3410
Sn5 0.9823 0.3233 0.6590

Top 8 peaks for 10° ≤ 2θ ≤ 80°, low angle first:
d [Å]	2θ (°)	Rel. int.
2.972	30.07	100.0
2.568	34.95	69.3
2.525	35.55	66.2
2.518	35.65	71.7
2.369	37.98	46.5
2.160	41.83	63.4
1.949	46.59	35.1
1.639	56.10	39.3